(1)
# LaPrZn6Ge3
Computed powder diffractogram, Cu Kα X-rays. Input: a DFT-relaxed cell (PBE, OQMD).
Intensities are scaled so that the largest is 100.

Largest 10 diffraction maxima, in order of rising 2θ, 2θ from 10° to 90°:
2θ (°)	d (Å)	intensity	h k l
31.69	2.823	100	1 1 1
34.49	2.601	13	2 0 1
35.56	2.524	21	2 1 0
40.52	2.226	33	3 0 0
41.90	2.156	52	2 1 1
43.67	2.073	25	0 0 2
49.19	1.852	13	1 3 0
52.33	1.748	14	2 2 1
61.08	1.517	19	3 0 2
68.21	1.375	21	1 4 1

Cell and atoms:
a = 7.7118 Å, b = 7.7118 Å, c = 4.1457 Å
α = 90.00°, β = 90.00°, γ = 120.00°
Space group P-6 (No. 174)
Asymmetric unit:
La1 0.0000 0.0000 0.0000
Pr1 0.6667 0.3333 0.0000
Zn1 0.0429 0.6664 0.5000
Zn2 0.1446 0.4786 0.0000
Ge1 0.3336 0.0459 0.5000

---

(2)
# La2GePt8
Computed powder diffractogram, Cu Kα X-rays. Input: a DFT-relaxed cell (PBE, OQMD).
Intensities are scaled so that the largest is 100.

Largest 10 diffraction maxima, in order of rising 2θ, 2θ from 10° to 90°:
2θ (°)	d (Å)	intensity	h k l
16.80	5.277	23	0 1 1
30.25	2.955	17	1 3 1
36.47	2.464	100	1 5 1
38.32	2.349	22	0 4 2
38.69	2.327	30	1 0 2
40.40	2.232	17	0 8 0
41.81	2.160	41	2 0 0
43.87	2.064	40	1 4 2
60.49	1.531	14	1 5 3
72.85	1.298	14	3 5 1

Cell and atoms:
a = 4.3206 Å, b = 17.8592 Å, c = 5.5240 Å
α = 90.00°, β = 90.00°, γ = 90.00°
Space group Amm2 (No. 38)
Asymmetric unit:
La1 0.0000 0.1238 0.0000
Ge1 0.5000 0.0000 0.2651
Pt1 0.0000 0.0000 0.5053
Pt2 0.0000 0.2023 0.5046
Pt3 0.5000 0.0000 0.8405
Pt4 0.5000 0.1135 0.5055
Pt5 0.5000 0.2492 0.7587

---

(3)
# LaSiGePt
Computed powder diffractogram, Cu Kα X-rays. Input: a DFT-relaxed cell (PBE, OQMD).
Intensities are scaled so that the largest is 100.

Largest 10 diffraction maxima, in order of rising 2θ, 2θ from 10° to 90°:
2θ (°)	d (Å)	intensity	h k l
29.08	3.071	27	0 4 1
29.41	3.037	100	1 1 1
32.94	2.719	22	1 3 1
33.12	2.705	63	1 5 0
37.43	2.403	40	0 6 1
41.30	2.186	30	0 0 2
41.48	2.177	29	2 0 0
53.93	1.700	32	1 5 2
57.09	1.613	23	2 6 1
59.97	1.543	20	2 0 2

Cell and atoms:
a = 4.3536 Å, b = 17.2573 Å, c = 4.3725 Å
α = 90.00°, β = 90.00°, γ = 90.00°
Space group Cmcm (No. 63)
Asymmetric unit:
La1 0.0000 0.1089 0.2500
Si1 0.0000 0.2502 0.7500
Ge1 0.0000 0.4616 0.2500
Pt1 0.0000 0.3153 0.2500

---

(4)
# SrLaGe4Pt2
Computed powder diffractogram, Cu Kα X-rays. Input: a DFT-relaxed cell (PBE, OQMD).
Intensities are scaled so that the largest is 100.

Largest 10 diffraction maxima, in order of rising 2θ, 2θ from 10° to 90°:
2θ (°)	d (Å)	intensity	h k l
10.12	8.743	87	0 0 2
28.58	3.124	44	1 0 4
28.78	3.102	100	1 1 1
32.29	2.772	72	1 1 3
32.57	2.750	90	0 1 5
36.83	2.440	46	1 0 6
40.41	2.232	61	2 0 0
40.55	2.225	60	0 2 0
46.38	1.958	42	1 1 7
52.82	1.733	46	2 1 5

Cell and atoms:
a = 4.4646 Å, b = 4.4496 Å, c = 17.4861 Å
α = 90.00°, β = 90.00°, γ = 90.00°
Space group Amm2 (No. 38)
Asymmetric unit:
Sr1 0.0000 0.0000 0.0000
La1 0.5000 0.0000 0.7842
Ge1 0.0000 0.0000 0.3559
Ge2 0.0000 0.0000 0.6419
Ge3 0.5000 0.0000 0.1433
Ge4 0.5000 0.0000 0.4285
Pt1 0.0000 0.0000 0.2146
Pt2 0.5000 0.0000 0.5715